Cr3O4: computed powder diffractogram (Cu Kα (weighted mean of Kα1 and Kα2)), based on a cell relaxed with GGA+U.

Peak list (8 most intense, 2θ = 15–90°, in order of rising 2θ)
index	2θ/deg	I (rel.)
1 0 0	17.92	100.0
1 1 -1	21.71	22.3
0 2 -2	36.23	38.2
2 0 0	36.37	19.4
0 0 2	39.47	68.7
2 -2 0	43.21	56.7
2 2 -2	44.25	52.8
-2 2 2	60.34	32.6

Structural model:
Cell: 5.8060 5.9080 6.0911 Å, 118.27 116.85 91.29°
Fractional coordinates of all 14 atoms:
Cr (0.0000, 0.0000, 0.0000)
Cr (0.0000, 0.0000, 0.5000)
Cr (0.0000, 0.5000, 0.0000)
Cr (0.0000, 0.5000, 0.5000)
Cr (0.5000, 0.0000, 0.0000)
Cr (0.5000, 0.5000, 0.5000)
O (0.2111, 0.2343, 0.4483)
O (0.2148, 0.7378, 0.9490)
O (0.2217, 0.2150, 0.9502)
O (0.2647, 0.7716, 0.5497)
O (0.7353, 0.2284, 0.4503)
O (0.7783, 0.7850, 0.0498)
O (0.7852, 0.2622, 0.0510)
O (0.7889, 0.7657, 0.5517)